No. 1
Starting from a DFT-relaxed cell (GGA-PBE, the Materials Project), the PXRD pattern of Li2InP2O8 was computed for Cu Kα.

Structural model:
Lattice parameters (Å, degrees): 4.9146 8.4430 8.5320 90.00 115.42 90.00
Fractional positions:
Li  0.0517  0.1272  0.1610
Li  0.0517  0.3728  0.6610
Li  0.9483  0.6272  0.3390
Li  0.9483  0.8728  0.8390
In  0.0000  0.0000  0.5000
In  0.0000  0.5000  0.0000
P  0.3456  0.6567  0.7337
P  0.3456  0.8433  0.2337
P  0.6544  0.1567  0.7663
P  0.6544  0.3433  0.2663
O  0.1837  0.6814  0.2006
O  0.1837  0.8186  0.7006
O  0.2432  0.5464  0.8428
O  0.2432  0.9536  0.3428
O  0.2705  0.5677  0.5613
O  0.2705  0.9323  0.0613
O  0.3080  0.1810  0.6697
O  0.3080  0.3190  0.1697
O  0.6920  0.6810  0.8303
O  0.6920  0.8190  0.3303
O  0.7295  0.0677  0.9387
O  0.7295  0.4323  0.4387
O  0.7568  0.0464  0.6572
O  0.7568  0.4536  0.1572
O  0.8163  0.1814  0.2994
O  0.8163  0.3186  0.7994

Main lines, in order of rising 2θ (10 to 80 degrees two-theta):
15.6 deg, I 100
20.0 deg, I 18
21.1 deg, I 41
23.2 deg, I 62
24.0 deg, I 17
29.2 deg, I 81
31.4 deg, I 53
38.6 deg, I 19
47.8 deg, I 27
49.2 deg, I 20

---

No. 2
Starting from a DFT-relaxed cell (GGA-PBE, the Materials Project), the PXRD pattern of Cs2AlAuCl6 was computed for Cu Kα.

Structural model:
Lattice parameters (Å, degrees): 7.3335 7.3335 7.3335 60.00 60.00 60.00
Fractional positions:
Cs  0.2500  0.2500  0.2500
Cs  0.7500  0.7500  0.7500
Al  0.0000  0.0000  0.0000
Au  0.5000  0.5000  0.5000
Cl  0.2292  0.2292  0.7708
Cl  0.2292  0.7708  0.2292
Cl  0.2292  0.7708  0.7708
Cl  0.7708  0.2292  0.2292
Cl  0.7708  0.2292  0.7708
Cl  0.7708  0.7708  0.2292

Main lines, in order of rising 2θ (10 to 80 degrees two-theta):
14.8 deg, I 22
24.3 deg, I 100
28.5 deg, I 25
29.8 deg, I 14
34.6 deg, I 56
37.8 deg, I 17
42.7 deg, I 44
49.7 deg, I 37
56.1 deg, I 23
67.6 deg, I 25

---

No. 3
Starting from a DFT-relaxed cell (GGA-PBE, the Materials Project), the PXRD pattern of BaMg14BiO16 was computed for Cu Kα.

Structural model:
Lattice parameters (Å, degrees): 4.6213 8.8533 9.1407 90.00 90.00 90.00
Fractional positions:
Ba  0.0000  0.0000  0.0000
Mg  0.0000  0.2675  0.2495
Mg  0.0000  0.2675  0.7505
Mg  0.0000  0.5000  0.0000
Mg  0.0000  0.5000  0.5000
Mg  0.0000  0.7325  0.2495
Mg  0.0000  0.7325  0.7505
Mg  0.5000  0.0000  0.2492
Mg  0.5000  0.0000  0.7508
Mg  0.5000  0.2655  0.5000
Mg  0.5000  0.2669  0.0000
Mg  0.5000  0.5000  0.2499
Mg  0.5000  0.5000  0.7501
Mg  0.5000  0.7331  0.0000
Mg  0.5000  0.7345  0.5000
Bi  0.0000  0.0000  0.5000
O  0.0000  0.0000  0.2593
O  0.0000  0.0000  0.7407
O  0.0000  0.2708  0.5000
O  0.0000  0.2822  0.0000
O  0.0000  0.5000  0.2555
O  0.0000  0.5000  0.7445
O  0.0000  0.7178  0.0000
O  0.0000  0.7292  0.5000
O  0.5000  0.0000  0.0000
O  0.5000  0.0000  0.5000
O  0.5000  0.2501  0.2510
O  0.5000  0.2501  0.7490
O  0.5000  0.5000  0.0000
O  0.5000  0.5000  0.5000
O  0.5000  0.7499  0.2510
O  0.5000  0.7499  0.7490

Main lines, in order of rising 2θ (10 to 80 degrees two-theta):
21.7 deg, I 62
21.9 deg, I 62
29.3 deg, I 72
34.2 deg, I 100
39.0 deg, I 87
39.4 deg, I 83
40.8 deg, I 81
56.6 deg, I 53
57.7 deg, I 55
72.1 deg, I 49

---

No. 4
Starting from a DFT-relaxed cell (GGA-PBE, the Materials Project), the PXRD pattern of Mg15Ti was computed for Cu Kα.

Structural model:
Lattice parameters (Å, degrees): 6.3827 6.3827 10.1442 90.00 90.00 120.00
Fractional positions:
Mg  0.0000  0.0000  0.0000
Mg  0.0002  0.5001  0.0000
Mg  0.0029  0.5014  0.5000
Mg  0.1635  0.3270  0.2536
Mg  0.1635  0.3270  0.7464
Mg  0.1635  0.8365  0.2536
Mg  0.1635  0.8365  0.7464
Mg  0.4986  0.5014  0.5000
Mg  0.4986  0.9971  0.5000
Mg  0.4999  0.9998  0.0000
Mg  0.4999  0.5001  0.0000
Mg  0.6667  0.3333  0.2504
Mg  0.6667  0.3333  0.7496
Mg  0.6730  0.8365  0.2536
Mg  0.6730  0.8365  0.7464
Ti  0.0000  0.0000  0.5000

Main lines, in order of rising 2θ (10 to 80 degrees two-theta):
32.4 deg, I 24
35.4 deg, I 25
37.0 deg, I 100
48.7 deg, I 15
57.8 deg, I 17
64.6 deg, I 18
67.8 deg, I 3
69.6 deg, I 19
70.6 deg, I 13
78.9 deg, I 3

---

No. 5
Starting from a DFT-relaxed cell (GGA-PBE, the Materials Project), the PXRD pattern of NaNdHfNbO6 was computed for Cu Kα.

Structural model:
Lattice parameters (Å, degrees): 5.7564 5.7564 5.7564 60.00 60.00 60.00
Fractional positions:
Na  0.0000  0.0000  0.0000
Nd  0.5000  0.5000  0.5000
Hf  0.2500  0.2500  0.2500
Nb  0.7500  0.7500  0.7500
O  0.5017  0.5017  0.9983
O  0.5017  0.9983  0.5017
O  0.5017  0.9983  0.9983
O  0.9983  0.5017  0.5017
O  0.9983  0.5017  0.9983
O  0.9983  0.9983  0.5017

Main lines, in order of rising 2θ (10 to 80 degrees two-theta):
18.9 deg, I 28
21.8 deg, I 14
31.1 deg, I 100
36.6 deg, I 16
44.5 deg, I 32
48.8 deg, I 7
55.3 deg, I 40
59.0 deg, I 6
64.8 deg, I 19
73.6 deg, I 17

---

No. 6
Starting from a DFT-relaxed cell (GGA-PBE, the Materials Project), the PXRD pattern of MgF2 was computed for Cu Kα.

Structural model:
Lattice parameters (Å, degrees): 4.6440 4.7350 3.0923 90.00 90.00 90.00
Fractional positions:
Mg  0.0000  0.0000  0.0000
Mg  0.5000  0.5000  0.5000
F  0.2142  0.1798  0.5000
F  0.2858  0.6798  0.0000
F  0.7142  0.3202  0.0000
F  0.7858  0.8202  0.5000

Main lines, in order of rising 2θ (10 to 80 degrees two-theta):
26.9 deg, I 100
34.9 deg, I 16
39.9 deg, I 89
42.9 deg, I 25
52.5 deg, I 32
53.0 deg, I 50
55.4 deg, I 29
59.8 deg, I 20
66.5 deg, I 26
67.7 deg, I 16

---

No. 7
Starting from a DFT-relaxed cell (GGA-PBE, the Materials Project), the PXRD pattern of Zn11Rh2 was computed for Cu Kα.

Structural model:
Lattice parameters (Å, degrees): 7.9125 7.9125 7.9125 109.47 109.47 109.47
Fractional positions:
Zn  0.0000  0.0000  0.7867
Zn  0.0000  0.2660  0.6488
Zn  0.0000  0.3560  0.3560
Zn  0.0000  0.6440  0.6440
Zn  0.0000  0.6488  0.2660
Zn  0.0000  0.7867  0.0000
Zn  0.2133  0.2133  0.2133
Zn  0.2660  0.0000  0.6488
Zn  0.2660  0.6488  0.0000
Zn  0.3512  0.3512  0.6172
Zn  0.3512  0.6172  0.3512
Zn  0.3560  0.0000  0.3560
Zn  0.3560  0.3560  0.0000
Zn  0.3828  0.7340  0.7340
Zn  0.6172  0.3512  0.3512
Zn  0.6440  0.0000  0.6440
Zn  0.6440  0.6440  0.0000
Zn  0.6488  0.0000  0.2660
Zn  0.6488  0.2660  0.0000
Zn  0.7340  0.3828  0.7340
Zn  0.7340  0.7340  0.3828
Zn  0.7867  0.0000  0.0000
Rh  0.0000  0.0000  0.3434
Rh  0.0000  0.3434  0.0000
Rh  0.3434  0.0000  0.0000
Rh  0.6566  0.6566  0.6566

Main lines, in order of rising 2θ (10 to 80 degrees two-theta):
23.9 deg, I 5
34.0 deg, I 3
42.0 deg, I 100
46.6 deg, I 6
48.8 deg, I 5
60.8 deg, I 9
69.8 deg, I 3
71.5 deg, I 6
73.3 deg, I 4
76.6 deg, I 18